This entry pairs a crystal structure of Li8Sb2S with its computed powder diffractogram. Radiation: Cu Kα X-rays. Structure: a crystal structure in the Materials Project, relaxed with PBE.
Intensities are scaled so that the largest is 100.

Peak list (6 most intense, 2θ = 10–90°, low angle first)
| 2θ (°) | d (Å) | intensity | hkl |
| --- | --- | --- | --- |
| 22.42 | 3.966 | 83 | 0 0 2 |
| 24.24 | 3.672 | 100 | 3 1 -2 |
| 24.66 | 3.611 | 91 | 0 2 1 |
| 26.19 | 3.403 | 73 | 3 1 0 |
| 38.84 | 2.319 | 45 | 3 3 -1 |
| 46.44 | 1.955 | 42 | 3 3 1 |

Structural model:
abc: 13.6103 8.1099 9.6002
angles: 90.00 124.28 90.00
Space group C2/c (No. 15)
Unique sites:
Li 0.0675 0.0038 0.4192
Li 0.1304 0.3601 0.5481
Li 0.1310 0.2580 0.2018
Li 0.1737 0.4035 0.8728
Sb 0.1770 0.0793 0.7556
S 0.0000 0.4009 0.2500

This entry pairs a crystal structure of K2ZrF6 with its computed powder diffractogram. Radiation: Cu Kα X-rays. Structure: a crystal structure in the Materials Project, relaxed with PBE.
Intensities are scaled so that the largest is 100.

Peak list (6 most intense, 2θ = 10–90°, low angle first)
| 2θ (°) | d (Å) | intensity | hkl |
| --- | --- | --- | --- |
| 15.08 | 5.874 | 34 | 0 2 0 |
| 15.23 | 5.817 | 81 | 1 1 0 |
| 19.71 | 4.504 | 38 | 0 2 1 |
| 26.37 | 3.380 | 44 | 1 3 0 |
| 26.62 | 3.348 | 49 | 2 0 0 |
| 29.71 | 3.007 | 100 | 0 2 2 |

Structural model:
abc: 6.6961 11.7482 7.0159
angles: 90.00 90.00 90.00
Space group Cmcm (No. 63)
Unique sites:
K 0.0000 0.1571 0.0009
Zr 0.0000 0.4492 0.2500
F 0.0000 0.4009 0.5460
F 0.1898 0.3031 0.2500
F 0.2090 0.0093 0.2500

This entry pairs a crystal structure of Ca2InPb with its computed powder diffractogram. Radiation: Cu Kα X-rays. Structure: a crystal structure in the Materials Project, relaxed with PBE.
Intensities are scaled so that the largest is 100.

Peak list (6 most intense, 2θ = 10–90°, low angle first)
| 2θ (°) | d (Å) | intensity | hkl |
| --- | --- | --- | --- |
| 22.81 | 3.898 | 40 | 2 0 0 |
| 32.48 | 2.756 | 100 | 2 2 0 |
| 46.60 | 1.949 | 18 | 4 0 0 |
| 52.49 | 1.743 | 18 | 4 2 0 |
| 57.95 | 1.591 | 37 | 4 2 2 |
| 77.42 | 1.233 | 16 | 6 2 0 |

Structural model:
abc: 7.7965 7.7965 7.7965
angles: 90.00 90.00 90.00
Space group Fm-3m (No. 225)
Unique sites:
Ca 0.2500 0.2500 0.2500
In 0.0000 0.0000 0.0000
Pb 0.0000 0.0000 0.5000

This entry pairs a crystal structure of NaSrYSeO6 with its computed powder diffractogram. Radiation: Cu Kα X-rays. Structure: a crystal structure in the Materials Project, relaxed with PBE.
Intensities are scaled so that the largest is 100.

Peak list (6 most intense, 2θ = 10–90°, low angle first)
| 2θ (°) | d (Å) | intensity | hkl |
| --- | --- | --- | --- |
| 22.07 | 4.028 | 18 | 2 0 0 |
| 31.41 | 2.848 | 100 | 2 2 0 |
| 45.02 | 2.014 | 39 | 4 0 0 |
| 55.92 | 1.644 | 38 | 4 2 2 |
| 65.56 | 1.424 | 22 | 4 4 0 |
| 74.50 | 1.274 | 18 | 6 2 0 |

Structural model:
abc: 8.0551 8.0551 8.0551
angles: 90.00 90.00 90.00
Space group F-43m (No. 216)
Unique sites:
Na 0.0000 0.0000 0.0000
Sr 0.0000 0.0000 0.5000
Y 0.2500 0.2500 0.7500
Se 0.2500 0.2500 0.2500
O 0.0240 0.2500 0.2500

This entry pairs a crystal structure of HfMg15 with its computed powder diffractogram. Radiation: Cu Kα X-rays. Structure: a crystal structure in the Materials Project, relaxed with PBE.
Intensities are scaled so that the largest is 100.

Peak list (6 most intense, 2θ = 10–90°, low angle first)
| 2θ (°) | d (Å) | intensity | hkl |
| --- | --- | --- | --- |
| 15.96 | 5.554 | 37 | 1 0 0 |
| 18.20 | 4.875 | 53 | 1 0 1 |
| 23.72 | 3.752 | 28 | 1 0 2 |
| 32.24 | 2.777 | 29 | 2 0 0 |
| 35.28 | 2.544 | 25 | 0 0 4 |
| 36.87 | 2.438 | 100 | 2 0 2 |

Structural model:
abc: 6.4132 6.4132 10.1758
angles: 90.00 90.00 120.00
Space group P-6m2 (No. 187)
Unique sites:
Hf 0.0000 0.0000 0.0000
Mg 0.0000 0.0000 0.5000
Mg 0.0003 0.5002 0.5000
Mg 0.3292 0.1646 0.2482
Mg 0.3333 0.6667 0.2487
Mg 0.5017 0.0034 0.0000

This entry pairs a crystal structure of Er2AgRu with its computed powder diffractogram. Radiation: Cu Kα X-rays. Structure: a crystal structure in the Materials Project, relaxed with PBE.
Intensities are scaled so that the largest is 100.

Peak list (6 most intense, 2θ = 10–90°, low angle first)
| 2θ (°) | d (Å) | intensity | hkl |
| --- | --- | --- | --- |
| 25.60 | 3.480 | 5 | 2 0 0 |
| 36.52 | 2.460 | 100 | 2 2 0 |
| 52.60 | 1.740 | 17 | 4 0 0 |
| 65.73 | 1.421 | 35 | 4 2 2 |
| 77.60 | 1.230 | 11 | 4 4 0 |
| 88.95 | 1.100 | 16 | 6 2 0 |

Structural model:
abc: 6.9593 6.9593 6.9593
angles: 90.00 90.00 90.00
Space group Fm-3m (No. 225)
Unique sites:
Er 0.2500 0.2500 0.2500
Ag 0.0000 0.0000 0.0000
Ru 0.0000 0.0000 0.5000

This entry pairs a crystal structure of K3AsCl6 with its computed powder diffractogram. Radiation: Cu Kα X-rays. Structure: a crystal structure in the Materials Project, relaxed with PBE.
Intensities are scaled so that the largest is 100.

Peak list (6 most intense, 2θ = 10–90°, low angle first)
| 2θ (°) | d (Å) | intensity | hkl |
| --- | --- | --- | --- |
| 14.01 | 6.322 | 28 | 1 1 1 |
| 16.19 | 5.475 | 46 | 2 0 0 |
| 22.97 | 3.871 | 54 | 2 2 0 |
| 28.23 | 3.161 | 38 | 2 2 2 |
| 32.72 | 2.737 | 100 | 4 0 0 |
| 46.94 | 1.936 | 62 | 4 4 0 |

Structural model:
abc: 10.9492 10.9492 10.9492
angles: 90.00 90.00 90.00
Space group Fm-3m (No. 225)
Unique sites:
K 0.0000 0.0000 0.0000
K 0.2500 0.2500 0.2500
As 0.0000 0.0000 0.5000
Cl 0.0000 0.0000 0.2713

This entry pairs a crystal structure of Pr3Ga2Ni6 with its computed powder diffractogram. Radiation: Cu Kα X-rays. Structure: a crystal structure in the Materials Project, relaxed with PBE.
Intensities are scaled so that the largest is 100.

Peak list (6 most intense, 2θ = 10–90°, low angle first)
| 2θ (°) | d (Å) | intensity | hkl |
| --- | --- | --- | --- |
| 31.18 | 2.868 | 32 | 3 1 0 |
| 34.25 | 2.618 | 43 | 2 2 2 |
| 37.09 | 2.424 | 28 | 3 2 1 |
| 39.75 | 2.268 | 27 | 4 0 0 |
| 42.27 | 2.138 | 100 | 3 3 0 |
| 77.30 | 1.234 | 24 | 6 3 3 |

Structural model:
abc: 9.0701 9.0701 9.0701
angles: 90.00 90.00 90.00
Space group Im-3m (No. 229)
Unique sites:
Pr 0.0000 0.0000 0.2876
Ga 0.2500 0.2500 0.2500
Ni 0.0000 0.3371 0.3371

This entry pairs a crystal structure of Sb3Rh with its computed powder diffractogram. Radiation: Cu Kα X-rays. Structure: a crystal structure in the Materials Project, relaxed with PBE.
Intensities are scaled so that the largest is 100.

Peak list (6 most intense, 2θ = 10–90°, low angle first)
| 2θ (°) | d (Å) | intensity | hkl |
| --- | --- | --- | --- |
| 30.12 | 2.967 | 100 | 3 1 0 |
| 35.81 | 2.507 | 33 | 3 2 1 |
| 43.12 | 2.098 | 40 | 4 0 2 |
| 47.48 | 1.915 | 26 | 4 2 2 |
| 49.54 | 1.840 | 28 | 4 1 3 |
| 57.26 | 1.609 | 17 | 5 0 3 |

Structural model:
abc: 9.3818 9.3818 9.3818
angles: 90.00 90.00 90.00
Space group Im-3 (No. 204)
Unique sites:
Sb 0.0000 0.1550 0.3403
Rh 0.2500 0.2500 0.2500